The following is a calculated PXRD pattern of Pm2VTcO8. It was derived from a cell relaxed with GGA+U, using CuKα.
Peak positions follow from Bragg's law for the DFT cell and can differ from measured ones.

Structural model:
Cell: 4.8298 4.8298 6.7458 Å, 90.39 90.39 93.28°
Positions (direct):
Pm: 0.0653 0.0653 0.2469
Pm: 0.9347 0.9347 0.7531
V: 0.5000 0.5000 0.0000
Tc: 0.5000 0.5000 0.5000
O: 0.2265 0.2265 0.5470
O: 0.2288 0.2288 0.9565
O: 0.2853 0.6341 0.2637
O: 0.3659 0.7147 0.7363
O: 0.6341 0.2853 0.2637
O: 0.7147 0.3659 0.7363
O: 0.7712 0.7712 0.0435
O: 0.7735 0.7735 0.4530

The 10 most intense peaks (10° ≤ 2θ ≤ 80°), sorted by position:
d_spacing	I (rel.)
3.936	31
3.511	100
3.316	46
2.773	68
2.754	70
2.411	21
2.265	20
2.018	26
1.850	32
1.844	32